# 1
Ho4TlCd2Hg: computed powder diffractogram (Cu Kα X-rays), based on a crystal structure in Alexandria, relaxed with PBE.
Peak positions follow from Bragg's law for the DFT cell and can differ from measured ones.

Largest 8 diffraction maxima, low angle first, 2θ from 10° to 90°:
20.60 deg, intensity 4; 33.96 deg, intensity 100; 40.05 deg, intensity 2; 48.78 deg, intensity 18; 53.49 deg, intensity 1; 60.77 deg, intensity 37; 71.47 deg, intensity 12; 81.53 deg, intensity 16

Cell lengths 9.151, 9.151, 9.151 Å; angles 33.52, 33.52, 33.52 degrees
Positions (direct):
1 Ho 0.123 0.123 0.123
2 Ho 0.373 0.373 0.373
3 Ho 0.627 0.627 0.627
4 Ho 0.877 0.877 0.877
5 Tl 0.500 0.500 0.500
6 Cd 0.250 0.250 0.250
7 Cd 0.750 0.750 0.750
8 Hg 0.000 0.000 0.000



# 2
ThSi3Ru: computed powder diffractogram (Cu Kα X-rays), based on a crystal structure in Alexandria, relaxed with PBE.
Peak positions follow from Bragg's law for the DFT cell and can differ from measured ones.

Largest 8 diffraction maxima, low angle first, 2θ from 10° to 90°:
17.88 deg, intensity 25; 22.82 deg, intensity 66; 29.81 deg, intensity 62; 34.40 deg, intensity 100; 34.98 deg, intensity 64; 42.66 deg, intensity 45; 50.81 deg, intensity 19; 55.91 deg, intensity 51

Cell lengths 5.796, 5.795, 4.239 Å; angles 68.56, 68.54, 42.90 degrees
Positions (direct):
1 Th 0.000 0.000 0.000
2 Si 0.232 0.232 0.268
3 Si 0.578 0.578 0.422
4 Si 0.732 0.732 0.768
5 Ru 0.341 0.341 0.659



# 3
Pm3ZrTl3Se8: computed powder diffractogram (Cu Kα X-rays), based on a crystal structure in Alexandria, relaxed with PBE.
Peak positions follow from Bragg's law for the DFT cell and can differ from measured ones.

Largest 8 diffraction maxima, low angle first, 2θ from 10° to 90°:
25.68 deg, intensity 12; 28.90 deg, intensity 100; 39.43 deg, intensity 37; 43.16 deg, intensity 35; 52.78 deg, intensity 18; 59.88 deg, intensity 11; 65.15 deg, intensity 14; 70.46 deg, intensity 15

Cell lengths 9.215, 9.215, 9.215 Å; angles 54.12, 54.12, 54.12 degrees
Positions (direct):
1 Pm 0.000 0.500 0.500
2 Pm 0.500 0.000 0.500
3 Pm 0.500 0.500 0.000
4 Zr 0.000 0.000 0.000
5 Tl 0.000 0.000 0.500
6 Tl 0.000 0.500 0.000
7 Tl 0.500 0.000 0.000
8 Se 0.223 0.223 0.755
9 Se 0.223 0.755 0.223
10 Se 0.245 0.777 0.777
11 Se 0.263 0.263 0.263
12 Se 0.737 0.737 0.737
13 Se 0.755 0.223 0.223
14 Se 0.777 0.245 0.777
15 Se 0.777 0.777 0.245



# 4
Pm5PrAg4: computed powder diffractogram (Cu Kα X-rays), based on a crystal structure in Alexandria, relaxed with PBE.
Peak positions follow from Bragg's law for the DFT cell and can differ from measured ones.

Largest 8 diffraction maxima, low angle first, 2θ from 10° to 90°:
29.85 deg, intensity 9; 32.74 deg, intensity 100; 34.14 deg, intensity 60; 35.99 deg, intensity 19; 49.05 deg, intensity 21; 60.23 deg, intensity 34; 61.59 deg, intensity 11; 82.04 deg, intensity 9

Cell lengths 3.714, 3.714, 20.215 Å; angles 90.00, 90.00, 90.00 degrees
Positions (direct):
1 Pm 0.000 0.000 0.000
2 Pm 0.000 0.000 0.187
3 Pm 0.000 0.000 0.372
4 Pm 0.000 0.000 0.628
5 Pm 0.000 0.000 0.813
6 Pr 0.500 0.500 0.500
7 Ag 0.500 0.500 0.093
8 Ag 0.500 0.500 0.280
9 Ag 0.500 0.500 0.720
10 Ag 0.500 0.500 0.907



# 5
SrAc6Se8: computed powder diffractogram (Cu Kα X-rays), based on a crystal structure in Alexandria, relaxed with PBE.
Peak positions follow from Bragg's law for the DFT cell and can differ from measured ones.

Largest 8 diffraction maxima, low angle first, 2θ from 10° to 90°:
14.06 deg, intensity 15; 24.47 deg, intensity 26; 28.33 deg, intensity 100; 40.50 deg, intensity 77; 47.89 deg, intensity 14; 50.16 deg, intensity 28; 66.35 deg, intensity 36; 73.66 deg, intensity 27

Cell lengths 8.910, 8.910, 8.910 Å; angles 60.00, 60.00, 60.00 degrees
Positions (direct):
1 Sr 0.000 0.000 0.000
2 Ac 0.000 0.000 0.500
3 Ac 0.000 0.500 0.000
4 Ac 0.000 0.500 0.500
5 Ac 0.500 0.000 0.000
6 Ac 0.500 0.000 0.500
7 Ac 0.500 0.500 0.000
8 Se 0.247 0.247 0.753
9 Se 0.247 0.753 0.247
10 Se 0.247 0.753 0.753
11 Se 0.250 0.250 0.250
12 Se 0.750 0.750 0.750
13 Se 0.753 0.247 0.247
14 Se 0.753 0.247 0.753
15 Se 0.753 0.753 0.247



# 6
HoTeIO4: computed powder diffractogram (Cu Kα X-rays), based on a crystal structure in Alexandria, relaxed with PBE.
Peak positions follow from Bragg's law for the DFT cell and can differ from measured ones.

Largest 8 diffraction maxima, low angle first, 2θ from 10° to 90°:
13.21 deg, intensity 30; 23.56 deg, intensity 35; 25.15 deg, intensity 100; 26.60 deg, intensity 35; 27.48 deg, intensity 90; 33.54 deg, intensity 57; 36.93 deg, intensity 27; 45.77 deg, intensity 23

Cell lengths 6.704, 6.704, 6.956 Å; angles 103.16, 103.16, 63.77 degrees
Positions (direct):
1 Ho 0.246 0.246 0.367
2 Ho 0.754 0.754 0.633
3 Te 0.129 0.129 0.762
4 Te 0.871 0.871 0.238
5 I 0.498 0.498 0.753
6 I 0.502 0.502 0.247
7 O 0.016 0.390 0.637
8 O 0.040 0.040 0.307
9 O 0.199 0.199 0.034
10 O 0.390 0.016 0.637
11 O 0.610 0.984 0.363
12 O 0.801 0.801 0.966
13 O 0.960 0.960 0.693
14 O 0.984 0.610 0.363



# 7
Sm3HgPb2: computed powder diffractogram (Cu Kα X-rays), based on a crystal structure in Alexandria, relaxed with PBE.
Peak positions follow from Bragg's law for the DFT cell and can differ from measured ones.

Largest 8 diffraction maxima, low angle first, 2θ from 10° to 90°:
27.71 deg, intensity 31; 30.80 deg, intensity 26; 31.95 deg, intensity 100; 34.72 deg, intensity 18; 37.17 deg, intensity 16; 37.56 deg, intensity 33; 49.33 deg, intensity 14; 64.28 deg, intensity 15

Cell lengths 12.701, 4.790, 11.930 Å; angles 90.00, 90.00, 90.00 degrees
Positions (direct):
1 Sm 0.038 0.250 0.125
2 Sm 0.136 0.750 0.571
3 Sm 0.204 0.250 0.816
4 Sm 0.296 0.750 0.316
5 Sm 0.364 0.250 0.071
6 Sm 0.462 0.750 0.625
7 Sm 0.538 0.250 0.375
8 Sm 0.636 0.750 0.929
9 Sm 0.704 0.250 0.684
10 Sm 0.796 0.750 0.184
11 Sm 0.864 0.250 0.429
12 Sm 0.962 0.750 0.875
13 Hg 0.154 0.250 0.348
14 Hg 0.346 0.750 0.848
15 Hg 0.654 0.250 0.152
16 Hg 0.846 0.750 0.652
17 Pb 0.006 0.750 0.327
18 Pb 0.181 0.750 0.033
19 Pb 0.319 0.250 0.533
20 Pb 0.494 0.250 0.827
21 Pb 0.506 0.750 0.173
22 Pb 0.681 0.750 0.467
23 Pb 0.819 0.250 0.967
24 Pb 0.994 0.250 0.673



# 8
PdCN: computed powder diffractogram (Cu Kα X-rays), based on a crystal structure in Alexandria, relaxed with PBE.
Peak positions follow from Bragg's law for the DFT cell and can differ from measured ones.

Largest 8 diffraction maxima, low angle first, 2θ from 10° to 90°:
18.45 deg, intensity 100; 31.47 deg, intensity 68; 36.73 deg, intensity 38; 37.39 deg, intensity 36; 41.27 deg, intensity 46; 42.63 deg, intensity 42; 49.54 deg, intensity 19; 49.66 deg, intensity 31

Cell lengths 4.957, 4.957, 3.037 Å; angles 94.90, 94.90, 151.98 degrees
Positions (direct):
1 Pd 0.000 0.000 0.000
2 C 0.205 0.795 0.000
3 N 0.778 0.222 0.000



# 9
CaYAl3O7: computed powder diffractogram (Cu Kα X-rays), based on a crystal structure in Alexandria, relaxed with PBE.
Peak positions follow from Bragg's law for the DFT cell and can differ from measured ones.

Largest 8 diffraction maxima, low angle first, 2θ from 10° to 90°:
11.39 deg, intensity 29; 16.16 deg, intensity 25; 23.73 deg, intensity 31; 31.02 deg, intensity 51; 31.12 deg, intensity 44; 31.29 deg, intensity 100; 36.63 deg, intensity 33; 51.83 deg, intensity 25

Cell lengths 5.099, 7.750, 7.768 Å; angles 90.00, 90.62, 90.00 degrees
Positions (direct):
1 Ca 0.024 0.000 0.080
2 Ca 0.976 0.500 0.920
3 Y 0.008 0.680 0.404
4 Y 0.992 0.180 0.596
5 Al 0.454 0.485 0.602
6 Al 0.463 0.197 0.890
7 Al 0.499 0.340 0.259
8 Al 0.501 0.840 0.741
9 Al 0.537 0.697 0.110
10 Al 0.546 0.985 0.398
11 O 0.196 0.700 0.128
12 O 0.203 0.985 0.406
13 O 0.277 0.423 0.412
14 O 0.299 0.007 0.820
15 O 0.303 0.688 0.631
16 O 0.306 0.350 0.754
17 O 0.327 0.234 0.093
18 O 0.673 0.734 0.907
19 O 0.694 0.850 0.246
20 O 0.697 0.188 0.369
21 O 0.701 0.507 0.180
22 O 0.723 0.923 0.588
23 O 0.797 0.485 0.594
24 O 0.804 0.200 0.872



# 10
CaCrHg: computed powder diffractogram (Cu Kα X-rays), based on a crystal structure in Alexandria, relaxed with PBE.
Peak positions follow from Bragg's law for the DFT cell and can differ from measured ones.

Largest 8 diffraction maxima, low angle first, 2θ from 10° to 90°:
16.79 deg, intensity 57; 25.47 deg, intensity 59; 34.22 deg, intensity 61; 35.17 deg, intensity 100; 38.35 deg, intensity 32; 49.17 deg, intensity 21; 49.69 deg, intensity 21; 61.89 deg, intensity 38

Cell lengths 5.894, 5.894, 5.894 Å; angles 143.35, 143.35, 52.80 degrees
Positions (direct):
1 Ca 0.000 0.000 0.000
2 Cr 0.307 0.307 0.000
3 Hg 0.688 0.688 0.000



# 11
TbPr2HoSc: computed powder diffractogram (Cu Kα X-rays), based on a crystal structure in Alexandria, relaxed with PBE.
Peak positions follow from Bragg's law for the DFT cell and can differ from measured ones.

Largest 8 diffraction maxima, low angle first, 2θ from 10° to 90°:
26.66 deg, intensity 100; 29.23 deg, intensity 98; 31.35 deg, intensity 52; 32.93 deg, intensity 83; 35.94 deg, intensity 18; 40.47 deg, intensity 18; 46.10 deg, intensity 59; 57.97 deg, intensity 23

Cell lengths 7.042, 7.042, 7.235 Å; angles 90.00, 90.00, 108.27 degrees
Positions (direct):
1 Tb 0.229 0.771 0.750
2 Tb 0.771 0.229 0.250
3 Pr 0.200 0.200 0.000
4 Pr 0.200 0.200 0.500
5 Pr 0.800 0.800 0.000
6 Pr 0.800 0.800 0.500
7 Ho 0.240 0.760 0.250
8 Ho 0.760 0.240 0.750
9 Sc 0.491 0.509 0.750
10 Sc 0.509 0.491 0.250



# 12
TbSmSb: computed powder diffractogram (Cu Kα X-rays), based on a crystal structure in Alexandria, relaxed with PBE.
Peak positions follow from Bragg's law for the DFT cell and can differ from measured ones.

Largest 8 diffraction maxima, low angle first, 2θ from 10° to 90°:
29.93 deg, intensity 100; 31.09 deg, intensity 38; 32.69 deg, intensity 30; 35.03 deg, intensity 89; 40.07 deg, intensity 58; 51.56 deg, intensity 37; 66.60 deg, intensity 20; 69.56 deg, intensity 24

Cell lengths 9.199, 9.199, 9.199 Å; angles 151.68, 151.68, 40.48 degrees
Positions (direct):
1 Tb 0.000 0.500 0.500
2 Tb 0.500 0.000 0.500
3 Sm 0.178 0.178 0.000
4 Sm 0.822 0.822 0.000
5 Sb 0.363 0.363 0.000
6 Sb 0.637 0.637 0.000



# 13
Dy15Ho2Er2: computed powder diffractogram (Cu Kα X-rays), based on a crystal structure in Alexandria, relaxed with PBE.
Peak positions follow from Bragg's law for the DFT cell and can differ from measured ones.

Largest 8 diffraction maxima, low angle first, 2θ from 10° to 90°:
27.55 deg, intensity 30; 27.97 deg, intensity 31; 30.50 deg, intensity 26; 31.57 deg, intensity 67; 31.94 deg, intensity 100; 32.41 deg, intensity 59; 35.94 deg, intensity 66; 57.81 deg, intensity 26

Cell lengths 8.664, 8.664, 8.664 Å; angles 79.25, 79.25, 79.25 degrees
Positions (direct):
1 Dy 0.000 0.000 0.500
2 Dy 0.000 0.298 0.702
3 Dy 0.000 0.500 0.000
4 Dy 0.000 0.702 0.298
5 Dy 0.150 0.627 0.627
6 Dy 0.298 0.000 0.702
7 Dy 0.298 0.702 0.000
8 Dy 0.373 0.373 0.850
9 Dy 0.373 0.850 0.373
10 Dy 0.500 0.000 0.000
11 Dy 0.627 0.150 0.627
12 Dy 0.627 0.627 0.150
13 Dy 0.702 0.000 0.298
14 Dy 0.702 0.298 0.000
15 Dy 0.850 0.373 0.373
16 Ho 0.321 0.321 0.321
17 Ho 0.679 0.679 0.679
18 Er 0.095 0.095 0.095
19 Er 0.905 0.905 0.905